Calculated powder X-ray diffraction pattern of La3YTc for CuKα, from the PBE geometry in Alexandria.
No peak broadening, texture or thermal motion is included.

Cell and atoms:
a = 10.545 Å, b = 10.545 Å, c = 6.595 Å
α = 95.98°, β = 95.98°, γ = 60.28°
Fractional positions:
La (0.012, 0.268, 0.148)
La (0.047, 0.618, 0.367)
La (0.268, 0.012, 0.648)
La (0.284, 0.372, 0.968)
La (0.372, 0.284, 0.468)
La (0.382, 0.953, 0.133)
La (0.618, 0.047, 0.867)
La (0.628, 0.716, 0.532)
La (0.716, 0.628, 0.032)
La (0.732, 0.988, 0.352)
La (0.953, 0.382, 0.633)
La (0.988, 0.732, 0.852)
Y (0.088, 0.912, 0.250)
Y (0.385, 0.615, 0.750)
Y (0.615, 0.385, 0.250)
Y (0.912, 0.088, 0.750)
Tc (0.278, 0.583, 0.195)
Tc (0.417, 0.722, 0.305)
Tc (0.583, 0.278, 0.695)
Tc (0.722, 0.417, 0.805)

Most intense lines, 10 to 90 degrees two-theta, low angle first:
Position (°2θ)  I/Imax
19.61  40
28.17  52
29.31  100
29.46  80
29.60  60
30.13  91
30.65  52
31.75  54
37.35  52
54.47  41

=====

Calculated powder X-ray diffraction pattern of Pm4Dy for CuKα, from the PBE geometry in Alexandria.
No peak broadening, texture or thermal motion is included.

Cell and atoms:
a = 3.630 Å, b = 3.630 Å, c = 14.927 Å
α = 96.93°, β = 96.93°, γ = 59.97°
Fractional positions:
Pm (0.101, 0.101, 0.303)
Pm (0.299, 0.299, 0.899)
Pm (0.701, 0.701, 0.101)
Pm (0.899, 0.899, 0.697)
Dy (0.500, 0.500, 0.500)

Most intense lines, 10 to 90 degrees two-theta, low angle first:
Position (°2θ)  I/Imax
30.18  100
34.99  51
50.30  24
50.38  12
59.79  32
59.88  11
62.73  9
81.81  10
81.98  7
84.44  11